For Rb3Sm3ReS8, a cell relaxed with GGA-PBE gives the calculated X-ray powder pattern in this record (Cu Kα (λ = 1.5418 Å)).

Largest 10 diffraction maxima, by angle, 15 to 90 degrees two-theta:
h k l  d [Å]  I (rel.)
0 0 6  3.927  26
2 0 2  3.336  43
0 2 4  2.995  100
0 2 7  2.419  15
2 0 8  2.248  36
2 2 0  2.008  32
0 2 10  1.951  17
2 2 6  1.788  20
4 0 4  1.668  16
2 4 4  1.283  13

Cell and atoms:
Unit cell a=8.0317 b=8.0317 c=23.5619 alpha=90.00 beta=90.00 gamma=120.00
Space group R-3m (No. 166, hexagonal axes)
One atom of each set of equivalent atoms:
Rb  0.0000  0.5000  0.0000
Sm  0.0000  0.5000  0.5000
Re  0.0000  0.0000  0.5000
S  0.0000  0.0000  0.2322
S  0.0358  0.5179  0.2266

For Rb2ReTc, a cell relaxed with GGA-PBE gives the calculated X-ray powder pattern in this record (Cu Kα (λ = 1.5418 Å)).

Largest 10 diffraction maxima, by angle, 15 to 90 degrees two-theta:
h k l  d [Å]  I (rel.)
2 2 0  4.684  37
3 1 0  4.190  28
2 1 1  3.624  61
4 0 0  3.312  67
4 2 0  2.963  100
1 1 2  2.225  31
6 2 0  2.095  27
3 1 2  2.009  44
5 1 2  1.718  29
5 5 2  1.450  24

Cell and atoms:
Unit cell a=13.2488 b=13.2488 c=4.5800 alpha=90.00 beta=90.00 gamma=90.00
Space group I-42d (No. 122)
One atom of each set of equivalent atoms:
Rb  0.0696  0.2500  0.1250
Re  0.0000  0.0000  0.5000
Tc  0.0000  0.0000  0.0000

For RbReTe2, a cell relaxed with GGA-PBE gives the calculated X-ray powder pattern in this record (Cu Kα (λ = 1.5418 Å)).

Largest 10 diffraction maxima, by angle, 15 to 90 degrees two-theta:
h k l  d [Å]  I (rel.)
1 1 2  3.477  100
2 1 1  3.376  26
2 2 0  2.896  28
2 1 3  2.273  21
3 1 2  2.225  40
3 2 1  2.198  24
2 0 4  1.920  30
4 2 0  1.832  20
3 3 2  1.765  12
5 1 2  1.507  12

Cell and atoms:
Unit cell a=8.1920 b=8.1920 c=8.6961 alpha=90.00 beta=90.00 gamma=90.00
Space group I-42d (No. 122)
One atom of each set of equivalent atoms:
Rb  0.0000  0.0000  0.0000
Re  0.0000  0.0000  0.5000
Te  0.1392  0.2500  0.6250

For RbReTe, a cell relaxed with GGA-PBE gives the calculated X-ray powder pattern in this record (Cu Kα (λ = 1.5418 Å)).

Largest 10 diffraction maxima, by angle, 15 to 90 degrees two-theta:
h k l  d [Å]  I (rel.)
6 0 0  3.946  40
5 1 0  3.251  51
3 1 -1  2.889  41
7 1 0  2.698  69
3 1 1  2.661  100
5 1 1  2.378  46
9 1 -1  2.100  59
12 0 0  1.972  42
2 2 -1  1.944  41
2 2 1  1.894  54

Cell and atoms:
Unit cell a=24.0221 b=4.4690 c=3.9969 alpha=90.00 beta=99.56 gamma=90.00
Space group C2 (No. 5)
One atom of each set of equivalent atoms:
Rb  0.1574  0.0000  0.1564
Re  0.0000  0.0441  0.5000
Re  0.0000  0.7125  0.0000
Te  0.0729  0.5019  0.5727

For RbZn2Re, a cell relaxed with GGA-PBE gives the calculated X-ray powder pattern in this record (Cu Kα (λ = 1.5418 Å)).

Largest 10 diffraction maxima, by angle, 15 to 90 degrees two-theta:
h k l  d [Å]  I (rel.)
1 0 1  5.140  67
1 1 2  3.482  100
2 0 0  2.693  25
1 1 6  2.292  32
2 0 4  2.283  32
2 1 3  2.221  16
0 0 8  2.153  16
2 2 4  1.741  32
3 1 2  1.671  24
3 1 6  1.465  16

Cell and atoms:
Unit cell a=5.3850 b=5.3850 c=17.2203 alpha=90.00 beta=90.00 gamma=90.00
Space group I4_1/amd (No. 141, origin choice 2)
One atom of each set of equivalent atoms:
Rb  0.0000  0.2500  0.3750
Zn  0.0000  0.0000  0.0000
Re  0.0000  0.2500  0.8750

For RbRuRh, a cell relaxed with GGA-PBE gives the calculated X-ray powder pattern in this record (Cu Kα (λ = 1.5418 Å)).

Largest 10 diffraction maxima, by angle, 15 to 90 degrees two-theta:
h k l  d [Å]  I (rel.)
0 0 2  5.786  18
0 0 3  3.858  33
2 0 -1  3.493  64
2 0 -3  2.661  40
1 1 3  2.654  56
1 1 -4  2.273  52
2 0 4  2.267  31
3 1 0  2.116  100
3 1 -1  2.081  52
0 2 3  1.856  17

Cell and atoms:
Unit cell a=7.3285 b=4.2314 c=11.5729 alpha=90.00 beta=90.24 gamma=90.00
Space group C2/m (No. 12)
One atom of each set of equivalent atoms:
Rb  0.1688  0.0000  0.3076
Ru  0.1667  0.0000  0.9985
Rh  0.0007  0.5000  0.1103

For RbRuRh, a cell relaxed with GGA-PBE gives the calculated X-ray powder pattern in this record (Cu Kα (λ = 1.5418 Å)).

Largest 10 diffraction maxima, by angle, 15 to 90 degrees two-theta:
h k l  d [Å]  I (rel.)
0 0 2  5.255  71
0 0 3  3.503  100
1 1 -2  2.938  65
1 1 3  2.740  64
1 1 -3  2.450  32
-1 1 3  2.247  34
1 -1 2  2.219  34
0 2 1  2.177  54
2 0 0  2.167  52
2 0 -1  2.144  53

Cell and atoms:
Unit cell a=4.6524 b=4.6707 c=10.6786 alpha=80.23 beta=89.20 gamma=68.86
Space group P1 (No. 1)
One atom of each set of equivalent atoms:
Rb  0.0000  0.0000  0.0000
Rb  0.4370  0.2474  0.4055
Ru  0.4576  0.6477  0.6576
Ru  0.9690  0.6090  0.7478
Rh  0.4693  0.1085  0.7486
Rh  0.9580  0.1485  0.6568

For RbRh5S8, a cell relaxed with GGA-PBE gives the calculated X-ray powder pattern in this record (Cu Kα (λ = 1.5418 Å)).

Largest 10 diffraction maxima, by angle, 15 to 90 degrees two-theta:
h k l  d [Å]  I (rel.)
4 0 -1  4.442  89
0 0 2  4.141  58
2 0 2  3.390  58
3 1 0  3.036  67
3 1 -1  2.997  76
3 1 1  2.723  90
3 1 -3  2.212  91
3 1 3  1.906  81
0 2 0  1.775  55
9 1 -1  1.765  100

Cell and atoms:
Unit cell a=18.3333 b=3.5498 c=8.6440 alpha=90.00 beta=106.63 gamma=90.00
Space group Cm (No. 8)
One atom of each set of equivalent atoms:
Rb  0.0000  0.0000  0.0000
Rh  0.9997  0.5000  0.5002
Rh  0.1583  0.0000  0.4670
Rh  0.2015  0.0000  0.8271
Rh  0.2980  0.5000  0.1732
Rh  0.3411  0.5000  0.5333
S  0.0782  0.0000  0.6312
S  0.0845  0.5000  0.3301
S  0.1763  0.5000  0.9832
S  0.2367  0.5000  0.6523
S  0.2627  0.0000  0.3481
S  0.3232  0.0000  0.0172
S  0.4149  0.0000  0.6703
S  0.4212  0.5000  0.3692